# CaSO4
Theoretical powder X-ray diffraction pattern, λ = 1.5418 Å (Cu Kα). Input: the GGA-PBE geometry in the Materials Project.
Neutral-atom scattering factors, no anomalous dispersion.

The 10 most intense peaks (10° ≤ 2θ ≤ 80°), low angle first:
(0 0 2), 2θ = 25.9°, I 33; (2 1 0), 2θ = 28.0°, I 52; (1 0 2), 2θ = 28.3°, I 22; (2 1 1), 2θ = 30.9°, I 100; (1 1 2), 2θ = 32.9°, I 70; (0 2 0), 2θ = 33.2°, I 44; (1 2 1), 2θ = 37.6°, I 22; (2 1 2), 2θ = 38.5°, I 20; (1 2 2), 2θ = 44.2°, I 26; (4 0 1), 2θ = 47.9°, I 38

```
CaSO4
1.0
7.9040 0.0000 0.0000
0.0000 5.3958 0.0000
0.0000 0.0000 6.8852
Ca S O
4 4 16
Direct
0.1906 0.2500 0.1758 Ca
0.3094 0.7500 0.6758 Ca
0.6906 0.2500 0.3242 Ca
0.8094 0.7500 0.8242 Ca
0.0531 0.2500 0.6755 S
0.4469 0.7500 0.1755 S
0.5531 0.2500 0.8245 S
0.9469 0.7500 0.3245 S
0.0649 0.0232 0.8015 O
0.0649 0.4768 0.8015 O
0.1112 0.7500 0.4248 O
0.1975 0.2500 0.5371 O
0.3025 0.7500 0.0371 O
0.3888 0.2500 0.9248 O
0.4351 0.5232 0.3015 O
0.4351 0.9768 0.3015 O
0.5649 0.0232 0.6985 O
0.5649 0.4768 0.6985 O
0.6112 0.7500 0.0752 O
0.6975 0.2500 0.9629 O
0.8025 0.7500 0.4629 O
0.8888 0.2500 0.5752 O
0.9351 0.5232 0.1985 O
0.9351 0.9768 0.1985 O
```

=====

# SrAs2F12
Theoretical powder X-ray diffraction pattern, λ = 1.5418 Å (Cu Kα). Input: the GGA-PBE geometry in the Materials Project.
Neutral-atom scattering factors, no anomalous dispersion.

The 10 most intense peaks (10° ≤ 2θ ≤ 80°), low angle first:
(1 1 1), 2θ = 15.4°, I 6; (2 0 0), 2θ = 17.8°, I 36; (2 1 0), 2θ = 20.0°, I 12; (2 2 0), 2θ = 25.3°, I 100; (3 0 0), 2θ = 26.9°, I 6; (4 2 2), 2θ = 44.7°, I 38; (4 3 1), 2θ = 46.6°, I 8; (4 4 0), 2θ = 52.0°, I 19; (6 2 0), 2θ = 58.7°, I 16; (6 4 2), 2θ = 70.9°, I 21

```
SrAs2F12
1.0
9.9416 0.0000 0.0000
0.0000 9.9416 0.0000
0.0000 0.0000 9.9416
Sr As F
4 8 48
Direct
0.0000 0.0000 0.0000 Sr
0.0000 0.0000 0.5000 Sr
0.0000 0.5000 0.0000 Sr
0.5000 0.0000 0.0000 Sr
0.2539 0.2539 0.2539 As
0.2539 0.2539 0.7461 As
0.2539 0.7461 0.2539 As
0.2539 0.7461 0.7461 As
0.7461 0.2539 0.2539 As
0.7461 0.2539 0.7461 As
0.7461 0.7461 0.2539 As
0.7461 0.7461 0.7461 As
0.1290 0.1290 0.3058 F
0.1290 0.1290 0.6942 F
0.1290 0.3058 0.1290 F
0.1290 0.3058 0.8710 F
0.1290 0.6942 0.1290 F
0.1290 0.6942 0.8710 F
0.1290 0.8710 0.3058 F
0.1290 0.8710 0.6942 F
0.1879 0.3701 0.3701 F
0.1879 0.3701 0.6299 F
0.1879 0.6299 0.3701 F
0.1879 0.6299 0.6299 F
0.3058 0.1290 0.1290 F
0.3058 0.1290 0.8710 F
0.3058 0.8710 0.1290 F
0.3058 0.8710 0.8710 F
0.3701 0.1879 0.3701 F
0.3701 0.1879 0.6299 F
0.3701 0.3701 0.1879 F
0.3701 0.3701 0.8121 F
0.3701 0.6299 0.1879 F
0.3701 0.6299 0.8121 F
0.3701 0.8121 0.3701 F
0.3701 0.8121 0.6299 F
0.6299 0.1879 0.3701 F
0.6299 0.1879 0.6299 F
0.6299 0.3701 0.1879 F
0.6299 0.3701 0.8121 F
0.6299 0.6299 0.1879 F
0.6299 0.6299 0.8121 F
0.6299 0.8121 0.3701 F
0.6299 0.8121 0.6299 F
0.6942 0.1290 0.1290 F
0.6942 0.1290 0.8710 F
0.6942 0.8710 0.1290 F
0.6942 0.8710 0.8710 F
0.8121 0.3701 0.3701 F
0.8121 0.3701 0.6299 F
0.8121 0.6299 0.3701 F
0.8121 0.6299 0.6299 F
0.8710 0.1290 0.3058 F
0.8710 0.1290 0.6942 F
0.8710 0.3058 0.1290 F
0.8710 0.3058 0.8710 F
0.8710 0.6942 0.1290 F
0.8710 0.6942 0.8710 F
0.8710 0.8710 0.3058 F
0.8710 0.8710 0.6942 F
```

=====

# Ba2LaI7
Theoretical powder X-ray diffraction pattern, λ = 1.5418 Å (Cu Kα). Input: the GGA-PBE geometry in the Materials Project.
Neutral-atom scattering factors, no anomalous dispersion.

The 10 most intense peaks (10° ≤ 2θ ≤ 80°), low angle first:
(1 0 -2), 2θ = 14.6°, I 24; (2 2 -2), 2θ = 25.5°, I 57; (2 0 2), 2θ = 26.4°, I 42; (1 4 1), 2θ = 26.6°, I 24; (0 2 4), 2θ = 26.8°, I 100; (2 3 -1), 2θ = 27.4°, I 79; (0 5 1), 2θ = 29.6°, I 26; (2 4 0), 2θ = 31.6°, I 27; (1 5 2), 2θ = 33.9°, I 24; (2 1 -5), 2θ = 34.6°, I 30

```
Ba2LaI7
1.0
8.4363 0.0000 0.0000
0.0000 15.4393 0.0000
-2.5752 0.0000 14.7505
Ba La I
8 4 28
Direct
0.1793 0.0000 0.2587 Ba
0.2444 0.7698 0.8611 Ba
0.2580 0.4273 0.3622 Ba
0.2849 0.1825 0.7493 Ba
0.7151 0.6825 0.2507 Ba
0.7420 0.9273 0.6378 Ba
0.7556 0.2698 0.1389 Ba
0.8207 0.5000 0.7413 Ba
0.3064 0.7106 0.4518 La
0.3215 0.4829 0.9500 La
0.6785 0.9829 0.0500 La
0.6936 0.2106 0.5482 La
0.0118 0.5968 0.9575 I
0.0214 0.8438 0.3927 I
0.0365 0.5780 0.4739 I
0.0810 0.3294 0.8795 I
0.1142 0.9765 0.7828 I
0.1180 0.2228 0.2886 I
0.2855 0.5596 0.7517 I
0.2937 0.6381 0.2497 I
0.3815 0.8763 0.1014 I
0.3828 0.7971 0.6421 I
0.3901 0.3987 0.1423 I
0.4276 0.0629 0.5108 I
0.4497 0.3458 0.6124 I
0.4537 0.1461 0.9903 I
0.5463 0.6461 0.0097 I
0.5503 0.8458 0.3876 I
0.5724 0.5629 0.4892 I
0.6099 0.8987 0.8577 I
0.6172 0.2971 0.3579 I
0.6185 0.3763 0.8986 I
0.7063 0.1381 0.7503 I
0.7145 0.0596 0.2483 I
0.8820 0.7228 0.7114 I
0.8858 0.4765 0.2172 I
0.9190 0.8294 0.1205 I
0.9635 0.0780 0.5261 I
0.9786 0.3438 0.6073 I
0.9882 0.0968 0.0425 I
```